Entry 1:
BaTiSi3O9: theoretical X-ray powder pattern (λ = 1.5418 Å (Cu Kα)), based on a crystal structure in the Materials Project, relaxed with PBE.
Lines closer than 0.1° are merged.

Main lines, low angle first (5 to 70 degrees two-theta):
2θ 15.21, intensity 25; 2θ 23.59, intensity 100; 2θ 26.51, intensity 16; 2θ 30.71, intensity 29; 2θ 32.18, intensity 82; 2θ 41.01, intensity 19; 2θ 45.08, intensity 14; 2θ 45.51, intensity 18; 2θ 48.26, intensity 17; 2θ 50.50, intensity 15

Structural model:
```
BaTiSi3O9
1.0
6.724 0.000 0.000
-3.362 5.823 0.000
0.000 0.000 9.900
Ba Ti Si O
2 2 6 18
Direct
0.000 0.000 0.000
0.000 0.000 0.500
0.667 0.333 0.000
0.667 0.333 0.500
0.045 0.449 0.250
0.045 0.596 0.750
0.404 0.449 0.750
0.404 0.955 0.250
0.551 0.596 0.250
0.551 0.955 0.750
0.141 0.412 0.750
0.141 0.728 0.250
0.272 0.412 0.250
0.272 0.859 0.750
0.422 0.096 0.113
0.422 0.096 0.387
0.422 0.325 0.613
0.422 0.325 0.887
0.588 0.728 0.750
0.588 0.859 0.250
0.675 0.096 0.613
0.675 0.096 0.887
0.675 0.578 0.113
0.675 0.578 0.387
0.904 0.325 0.113
0.904 0.325 0.387
0.904 0.578 0.613
0.904 0.578 0.887
```



Entry 2:
BaY4Si5O17: theoretical X-ray powder pattern (λ = 1.5418 Å (Cu Kα)), based on a crystal structure in the Materials Project, relaxed with PBE.
Lines closer than 0.1° are merged.

Main lines, low angle first (5 to 70 degrees two-theta):
2θ 15.99, intensity 14; 2θ 25.73, intensity 23; 2θ 27.57, intensity 31; 2θ 27.80, intensity 100; 2θ 28.63, intensity 30; 2θ 29.99, intensity 21; 2θ 32.28, intensity 16; 2θ 32.55, intensity 15; 2θ 40.47, intensity 20; 2θ 51.38, intensity 14

Structural model:
```
BaY4Si5O17
1.0
5.595 0.000 0.000
0.000 20.030 0.000
-1.995 0.000 6.657
Ba Y Si O
2 8 10 34
Direct
0.244 0.250 0.310
0.756 0.750 0.690
0.302 0.039 0.617
0.302 0.461 0.617
0.352 0.658 0.018
0.352 0.842 0.018
0.648 0.158 0.982
0.648 0.342 0.982
0.698 0.539 0.383
0.698 0.961 0.383
0.063 0.250 0.781
0.196 0.061 0.095
0.196 0.439 0.095
0.229 0.636 0.492
0.229 0.864 0.492
0.771 0.136 0.508
0.771 0.364 0.508
0.804 0.561 0.905
0.804 0.939 0.905
0.937 0.750 0.219
0.000 0.000 0.000
0.000 0.500 0.000
0.017 0.184 0.631
0.017 0.316 0.631
0.042 0.128 0.115
0.042 0.372 0.115
0.102 0.564 0.517
0.102 0.936 0.517
0.133 0.750 0.084
0.356 0.250 0.918
0.362 0.673 0.703
0.362 0.827 0.703
0.369 0.073 0.940
0.369 0.427 0.940
0.375 0.034 0.312
0.375 0.466 0.312
0.420 0.629 0.351
0.420 0.871 0.351
0.580 0.129 0.649
0.580 0.371 0.649
0.625 0.534 0.688
0.625 0.966 0.688
0.631 0.573 0.060
0.631 0.927 0.060
0.638 0.173 0.297
0.638 0.327 0.297
0.644 0.750 0.082
0.867 0.250 0.916
0.898 0.064 0.483
0.898 0.436 0.483
0.958 0.628 0.885
0.958 0.872 0.885
0.983 0.684 0.369
0.983 0.816 0.369
```



Entry 3:
Ba9Y2Si6O24: theoretical X-ray powder pattern (λ = 1.5418 Å (Cu Kα)), based on a crystal structure in the Materials Project, relaxed with PBE.
Lines closer than 0.1° are merged.

Main lines, low angle first (5 to 70 degrees two-theta):
2θ 21.11, intensity 47; 2θ 29.61, intensity 100; 2θ 30.43, intensity 99; 2θ 35.94, intensity 16; 2θ 37.33, intensity 28; 2θ 42.97, intensity 49; 2θ 47.80, intensity 20; 2θ 52.01, intensity 16; 2θ 53.57, intensity 29; 2θ 54.08, intensity 14

Structural model:
```
Ba9Y2Si6O24
1.0
5.087 2.937 7.495
-5.087 2.937 7.495
0.000 -5.874 7.495
Ba Y Si O
9 2 6 24
Direct
0.000 0.000 0.000
0.140 0.438 0.748
0.252 0.860 0.562
0.338 0.338 0.338
0.438 0.748 0.140
0.562 0.252 0.860
0.662 0.662 0.662
0.748 0.140 0.438
0.860 0.562 0.252
0.164 0.164 0.164
0.836 0.836 0.836
0.053 0.756 0.413
0.244 0.587 0.947
0.413 0.053 0.756
0.587 0.947 0.244
0.756 0.413 0.053
0.947 0.244 0.587
0.048 0.214 0.404
0.062 0.291 0.635
0.070 0.719 0.907
0.093 0.930 0.281
0.214 0.404 0.048
0.229 0.619 0.429
0.281 0.093 0.930
0.291 0.635 0.062
0.365 0.938 0.709
0.381 0.571 0.771
0.404 0.048 0.214
0.429 0.229 0.619
0.571 0.771 0.381
0.596 0.952 0.786
0.619 0.429 0.229
0.635 0.062 0.291
0.709 0.365 0.938
0.719 0.907 0.070
0.771 0.381 0.571
0.786 0.596 0.952
0.907 0.070 0.719
0.930 0.281 0.093
0.938 0.709 0.365
0.952 0.786 0.596
```



Entry 4:
Ba2ZnSi2O7: theoretical X-ray powder pattern (λ = 1.5418 Å (Cu Kα)), based on a crystal structure in the Materials Project, relaxed with PBE.
Lines closer than 0.1° are merged.

Main lines, low angle first (5 to 70 degrees two-theta):
2θ 22.28, intensity 14; 2θ 25.30, intensity 12; 2θ 27.71, intensity 100; 2θ 30.23, intensity 15; 2θ 32.50, intensity 20; 2θ 37.13, intensity 10; 2θ 45.70, intensity 10; 2θ 46.08, intensity 22; 2θ 46.93, intensity 10; 2θ 52.95, intensity 15

Structural model:
```
Ba2ZnSi2O7
1.0
4.270 -5.442 0.000
4.270 5.442 0.000
-3.061 0.000 7.985
Ba Zn Si O
4 2 4 14
Direct
0.185 0.269 0.474
0.269 0.185 0.974
0.731 0.815 0.026
0.815 0.731 0.526
0.258 0.742 0.250
0.742 0.258 0.750
0.168 0.605 0.863
0.395 0.832 0.637
0.605 0.168 0.363
0.832 0.395 0.137
0.023 0.758 0.867
0.043 0.357 0.765
0.242 0.977 0.633
0.324 0.619 0.044
0.334 0.666 0.750
0.357 0.043 0.265
0.381 0.676 0.456
0.619 0.324 0.544
0.643 0.957 0.735
0.666 0.334 0.250
0.676 0.381 0.956
0.758 0.023 0.367
0.957 0.643 0.235
0.977 0.242 0.133
```



Entry 5:
BaZn2Si2O7: theoretical X-ray powder pattern (λ = 1.5418 Å (Cu Kα)), based on a crystal structure in the Materials Project, relaxed with PBE.
Lines closer than 0.1° are merged.

Main lines, low angle first (5 to 70 degrees two-theta):
2θ 18.59, intensity 11; 2θ 26.72, intensity 100; 2θ 29.47, intensity 43; 2θ 35.04, intensity 21; 2θ 38.44, intensity 16; 2θ 42.72, intensity 9; 2θ 44.84, intensity 18; 2θ 51.32, intensity 8; 2θ 56.36, intensity 9; 2θ 60.97, intensity 12

Structural model:
```
BaZn2Si2O7
1.0
6.583 -3.876 0.000
6.583 3.876 0.000
0.000 0.000 6.825
Ba Zn Si O
2 4 4 14
Direct
0.240 0.760 0.500
0.760 0.240 0.000
0.225 0.227 0.754
0.227 0.225 0.254
0.773 0.775 0.754
0.775 0.773 0.254
0.183 0.584 0.999
0.416 0.817 0.999
0.584 0.183 0.499
0.817 0.416 0.499
0.058 0.691 0.196
0.062 0.676 0.795
0.272 0.338 0.003
0.309 0.942 0.196
0.324 0.938 0.795
0.338 0.272 0.503
0.393 0.607 0.997
0.607 0.393 0.497
0.662 0.728 0.003
0.676 0.062 0.295
0.691 0.058 0.696
0.728 0.662 0.503
0.938 0.324 0.295
0.942 0.309 0.696
```



Entry 6:
BaZn2Si2O7: theoretical X-ray powder pattern (λ = 1.5418 Å (Cu Kα)), based on a crystal structure in the Materials Project, relaxed with PBE.
Lines closer than 0.1° are merged.

Main lines, low angle first (5 to 70 degrees two-theta):
2θ 18.54, intensity 19; 2θ 26.12, intensity 100; 2θ 26.80, intensity 70; 2θ 29.92, intensity 62; 2θ 34.90, intensity 35; 2θ 38.60, intensity 24; 2θ 44.84, intensity 29; 2θ 45.37, intensity 21; 2θ 55.27, intensity 21; 2θ 61.59, intensity 17

Structural model:
```
BaZn2Si2O7
1.0
6.542 -3.999 0.000
6.542 3.999 0.000
0.000 0.000 6.712
Ba Zn Si O
2 4 4 14
Direct
0.229 0.771 0.750
0.771 0.229 0.250
0.276 0.276 0.000
0.276 0.276 0.500
0.724 0.724 0.000
0.724 0.724 0.500
0.087 0.676 0.250
0.324 0.913 0.250
0.676 0.087 0.750
0.913 0.324 0.750
0.119 0.881 0.250
0.156 0.230 0.750
0.180 0.559 0.045
0.180 0.559 0.455
0.230 0.156 0.250
0.441 0.820 0.045
0.441 0.820 0.455
0.559 0.180 0.545
0.559 0.180 0.955
0.770 0.844 0.750
0.820 0.441 0.545
0.820 0.441 0.955
0.844 0.770 0.250
0.881 0.119 0.750
```



Copy entry 6 word for word.
BaZn2Si2O7: theoretical X-ray powder pattern (λ = 1.5418 Å (Cu Kα)), based on a crystal structure in the Materials Project, relaxed with PBE.
Lines closer than 0.1° are merged.

Main lines, low angle first (5 to 70 degrees two-theta):
2θ 18.54, intensity 19; 2θ 26.12, intensity 100; 2θ 26.80, intensity 70; 2θ 29.92, intensity 62; 2θ 34.90, intensity 35; 2θ 38.60, intensity 24; 2θ 44.84, intensity 29; 2θ 45.37, intensity 21; 2θ 55.27, intensity 21; 2θ 61.59, intensity 17

Structural model:
```
BaZn2Si2O7
1.0
6.542 -3.999 0.000
6.542 3.999 0.000
0.000 0.000 6.712
Ba Zn Si O
2 4 4 14
Direct
0.229 0.771 0.750
0.771 0.229 0.250
0.276 0.276 0.000
0.276 0.276 0.500
0.724 0.724 0.000
0.724 0.724 0.500
0.087 0.676 0.250
0.324 0.913 0.250
0.676 0.087 0.750
0.913 0.324 0.750
0.119 0.881 0.250
0.156 0.230 0.750
0.180 0.559 0.045
0.180 0.559 0.455
0.230 0.156 0.250
0.441 0.820 0.045
0.441 0.820 0.455
0.559 0.180 0.545
0.559 0.180 0.955
0.770 0.844 0.750
0.820 0.441 0.545
0.820 0.441 0.955
0.844 0.770 0.250
0.881 0.119 0.750
```



Q: Number 5 is which compound?
A: BaZn2Si2O7